Starting from a structure optimized by DFT (PBE), the PXRD pattern of FeCo4Ni4 was calculated for Cu Kα X-rays.
Kinematic intensities with the Lorentz-polarization factor, no thermal factor.

Most intense lines, 2θ = 10–80°, sorted by position:
2θ = 44.5°, d 2.036, intensity 100.0
2θ = 51.7°, d 1.767, intensity 31.0
2θ = 52.1°, d 1.757, intensity 15.2
2θ = 76.2°, d 1.249, intensity 8.9
2θ = 76.5°, d 1.246, intensity 17.6

Crystal structure
```
9
Lattice="-3.7474 3.7474 1.7570 3.7474 -3.7474 1.7570 3.7474 3.7474 -1.7570" Properties=species:S:1:pos:R:3 pbc="T T T"
Fe 0.0000 0.0000 0.0000
Co 2.4874 2.4874 0.0000
Co 1.2600 -1.2600 1.7570
Co -1.2600 1.2600 1.7570
Co 1.2600 1.2600 1.7570
Ni 2.4892 0.0000 0.0000
Ni 5.0056 0.0000 0.0000
Ni 0.0000 2.4892 0.0000
Ni 0.0000 5.0056 0.0000
```